No. 1
This entry pairs a crystal structure of FeSb4O12 with its theoretical XRD peak list. Radiation: Cu Ka. Structure: the PBE+U geometry in the Materials Project.
Neutral-atom scattering factors, no anomalous dispersion.

Top 6 peaks for 2θ from 10° to 80°, in order of falling intensity:
Position (°2θ)	Rel. int.
23.72	100
32.73	71
23.58	49
34.65	34
53.32	25
42.43	22

Structure:
a b c (Å): 5.159 5.482 7.572
angles (deg): 85.32 89.95 89.94
Sites, in units of the cell vectors:
Fe 0.000 0.000 0.000
Sb 0.004 0.592 0.783
Sb 0.493 0.112 0.297
Sb 0.500 0.113 0.777
Sb 0.990 0.592 0.306
O 0.105 0.643 0.045
O 0.170 0.931 0.756
O 0.178 0.285 0.364
O 0.307 0.793 0.359
O 0.330 0.433 0.728
O 0.354 0.117 0.039
O 0.638 0.101 0.539
O 0.678 0.422 0.227
O 0.713 0.818 0.868
O 0.812 0.924 0.225
O 0.818 0.283 0.871
O 0.853 0.604 0.547

No. 2
This entry pairs a crystal structure of Fe13Si2Sb2O28 with its theoretical XRD peak list. Radiation: Cu Ka. Structure: the PBE+U geometry in the Materials Project.
Neutral-atom scattering factors, no anomalous dispersion.

Top 6 peaks for 2θ from 10° to 80°, in order of falling intensity:
Position (°2θ)	Rel. int.
30.59	100
10.09	86
36.42	76
15.52	75
30.40	56
32.57	51

Structure:
a b c (Å): 5.646 8.968 11.582
angles (deg): 84.45 81.12 78.54
Sites, in units of the cell vectors:
Fe 0.000 0.000 0.000
Fe 0.069 0.341 0.304
Fe 0.226 0.653 0.165
Fe 0.245 0.066 0.450
Fe 0.331 0.380 0.724
Fe 0.336 0.661 0.869
Fe 0.442 0.988 0.147
Fe 0.558 0.012 0.853
Fe 0.664 0.339 0.131
Fe 0.669 0.620 0.276
Fe 0.755 0.934 0.550
Fe 0.774 0.347 0.835
Fe 0.931 0.659 0.696
Si 0.225 0.311 0.009
Si 0.775 0.689 0.991
Sb 0.113 0.020 0.718
Sb 0.887 0.980 0.282
O 0.002 0.561 0.288
O 0.056 0.899 0.419
O 0.071 0.647 0.999
O 0.133 0.125 0.274
O 0.139 0.883 0.152
O 0.207 0.290 0.433
O 0.264 0.886 0.852
O 0.273 0.611 0.725
O 0.300 0.124 0.007
O 0.306 0.368 0.129
O 0.327 0.166 0.750
O 0.359 0.641 0.322
O 0.386 0.950 0.594
O 0.387 0.396 0.899
O 0.613 0.604 0.101
O 0.614 0.050 0.406
O 0.641 0.359 0.678
O 0.673 0.834 0.250
O 0.694 0.632 0.871
O 0.700 0.876 0.993
O 0.727 0.389 0.275
O 0.736 0.114 0.148
O 0.793 0.710 0.567
O 0.861 0.117 0.848
O 0.867 0.875 0.726
O 0.929 0.353 0.001
O 0.944 0.101 0.581
O 0.998 0.439 0.712

No. 3
This entry pairs a crystal structure of Fe13Si2Sb2O28 with its theoretical XRD peak list. Radiation: Cu Ka. Structure: the PBE+U geometry in the Materials Project.
Neutral-atom scattering factors, no anomalous dispersion.

Top 6 peaks for 2θ from 10° to 80°, in order of falling intensity:
Position (°2θ)	Rel. int.
31.06	100
35.13	72
10.24	55
26.45	50
20.57	45
32.50	44

Structure:
a b c (Å): 5.624 8.812 11.492
angles (deg): 87.20 75.96 78.52
Sites, in units of the cell vectors:
Fe 0.000 0.000 0.000
Fe 0.035 0.364 0.321
Fe 0.206 0.644 0.153
Fe 0.284 0.995 0.437
Fe 0.352 0.645 0.854
Fe 0.361 0.361 0.682
Fe 0.422 0.001 0.150
Fe 0.578 0.999 0.850
Fe 0.639 0.639 0.318
Fe 0.648 0.355 0.146
Fe 0.716 0.005 0.563
Fe 0.794 0.356 0.847
Fe 0.965 0.636 0.679
Si 0.233 0.314 0.001
Si 0.767 0.686 0.999
Sb 0.145 0.999 0.711
Sb 0.855 0.001 0.289
O 0.008 0.100 0.577
O 0.012 0.414 0.702
O 0.070 0.644 0.992
O 0.115 0.886 0.155
O 0.119 0.135 0.289
O 0.214 0.351 0.418
O 0.279 0.875 0.844
O 0.298 0.593 0.709
O 0.304 0.123 0.999
O 0.307 0.378 0.120
O 0.371 0.653 0.421
O 0.404 0.385 0.880
O 0.412 0.130 0.713
O 0.420 0.896 0.578
O 0.580 0.104 0.422
O 0.588 0.870 0.287
O 0.596 0.615 0.120
O 0.629 0.347 0.579
O 0.693 0.622 0.880
O 0.696 0.877 0.001
O 0.702 0.407 0.291
O 0.721 0.125 0.156
O 0.786 0.649 0.582
O 0.881 0.865 0.711
O 0.885 0.114 0.845
O 0.930 0.356 0.008
O 0.988 0.586 0.298
O 0.992 0.900 0.423

No. 4
This entry pairs a crystal structure of Sr2FeSbO6 with its theoretical XRD peak list. Radiation: Cu Ka. Structure: the PBE+U geometry in the Materials Project.
Neutral-atom scattering factors, no anomalous dispersion.

Top 6 peaks for 2θ from 10° to 80°, in order of falling intensity:
Position (°2θ)	Rel. int.
31.58	100
45.11	27
56.23	24
31.38	19
65.94	19
55.99	17

Structure:
a b c (Å): 5.666 5.666 5.701
angles (deg): 120.19 120.19 60.03
Sites, in units of the cell vectors:
Sr 0.250 0.250 0.247
Sr 0.750 0.750 0.753
Fe 0.000 0.000 0.500
Sb 0.500 0.500 0.000
O 0.223 0.720 0.219
O 0.252 0.252 0.699
O 0.280 0.777 0.781
O 0.720 0.223 0.219
O 0.748 0.748 0.301
O 0.777 0.280 0.781